(1)
This entry pairs a crystal structure of Li4AsH2 with its calculated PXRD pattern. Radiation: Cu Kα (weighted mean of Kα1 and Kα2). Structure: a structure optimized by DFT (PBE).
No peak broadening, texture or thermal motion is included.

Top 6 peaks for 10° ≤ 2θ ≤ 80°, most intense first:
| 2θ/deg | I (rel.) | hkl |
| --- | --- | --- |
| 16.41 | 100 | 0 1 0 |
| 17.36 | 79 | 1 0 0 |
| 23.57 | 60 | 1 -1 1 |
| 17.54 | 57 | 0 1 -1 |
| 27.35 | 57 | 1 1 0 |
| 30.42 | 29 | 0 2 -1 |

Structure:
```
data_Li4AsH2
_chemical_formula_sum 'Li8 As2 H4'
_cell_length_a 5.375
_cell_length_b 6.073
_cell_length_c 6.232
_cell_angle_alpha 111.32
_cell_angle_beta 95.72
_cell_angle_gamma 103.82
_space_group_name_H-M_alt 'P 1'
_space_group_IT_number 1
loop_
_space_group_symop_operation_xyz
'x,y,z'
loop_
_atom_site_label
_atom_site_type_symbol
_atom_site_fract_x
_atom_site_fract_y
_atom_site_fract_z
_atom_site_occupancy
Li1 Li 0.000 0.000 0.000 1
Li2 Li 0.019 0.425 0.893 1
Li3 Li 0.107 0.733 0.606 1
Li4 Li 0.350 0.920 0.285 1
Li5 Li 0.388 0.451 0.370 1
Li6 Li 0.478 0.650 0.857 1
Li7 Li 0.521 0.226 0.004 1
Li8 Li 0.844 0.202 0.425 1
As1 As 0.662 0.911 0.630 1
As2 As 0.826 0.746 0.244 1
H1 H 0.156 0.426 0.597 1
H2 H 0.210 0.792 0.944 1
H3 H 0.213 0.308 0.054 1
H4 H 0.545 0.212 0.293 1
```

=====

(2)
This entry pairs a crystal structure of DySi7Ru3 with its calculated PXRD pattern. Radiation: Cu Kα (weighted mean of Kα1 and Kα2). Structure: a structure optimized by DFT (PBE).
No peak broadening, texture or thermal motion is included.

Top 6 peaks for 10° ≤ 2θ ≤ 80°, most intense first:
| 2θ/deg | I (rel.) | hkl |
| --- | --- | --- |
| 26.95 | 100 | 1 1 3 |
| 35.82 | 70 | 1 1 6 |
| 40.99 | 63 | 3 0 0 |
| 49.72 | 50 | 2 2 3 |
| 47.43 | 45 | 1 1 9 |
| 40.40 | 42 | 2 1 4 |

Structure:
```
data_DySi7Ru3
_chemical_formula_sum 'Dy6 Si42 Ru18'
_cell_length_a 7.6277
_cell_length_b 7.6277
_cell_length_c 19.9565
_cell_angle_alpha 90.00
_cell_angle_beta 90.00
_cell_angle_gamma 120.00
_space_group_name_H-M_alt 'R -3 c'
_space_group_IT_number 167
_space_group_name_Hall '-R 3 2"c'
loop_
_atom_site_label
_atom_site_type_symbol
_atom_site_fract_x
_atom_site_fract_y
_atom_site_fract_z
_atom_site_occupancy
Dy1 Dy 0.0000 0.0000 0.0000 1
Si1 Si 0.0000 0.0000 0.2500 1
Si2 Si 0.0083 0.2009 0.1382 1
Ru1 Ru 0.0000 0.3280 0.2500 1
```

=====

(3)
This entry pairs a crystal structure of Li6AgAu5 with its calculated PXRD pattern. Radiation: Cu Kα (weighted mean of Kα1 and Kα2). Structure: a structure optimized by DFT (PBE).
No peak broadening, texture or thermal motion is included.

Top 6 peaks for 10° ≤ 2θ ≤ 80°, most intense first:
| 2θ/deg | I (rel.) | hkl |
| --- | --- | --- |
| 27.63 | 100 | 0 2 0 |
| 28.85 | 90 | 1 0 1 |
| 29.04 | 88 | 1 0 -2 |
| 40.37 | 83 | 1 2 1 |
| 40.51 | 82 | 1 2 -2 |
| 50.50 | 78 | 2 2 -1 |

Structure:
```
data_Li6AgAu5
_chemical_formula_sum 'Li6 Ag1 Au5'
_cell_length_a 4.362
_cell_length_b 6.457
_cell_length_c 6.886
_cell_angle_alpha 90.00
_cell_angle_beta 108.10
_cell_angle_gamma 90.00
_space_group_name_H-M_alt 'P 1 2/m 1'
_space_group_IT_number 10
loop_
_space_group_symop_operation_xyz
'x,y,z'
'-x,-y,-z'
'-x,y,-z'
'x,-y,z'
loop_
_atom_site_label
_atom_site_type_symbol
_atom_site_fract_x
_atom_site_fract_y
_atom_site_fract_z
_atom_site_occupancy
Li1 Li 0.000 0.244 0.000 1
Li2 Li 0.331 0.246 0.662 1
Ag1 Ag 0.500 0.500 0.000 1
Au1 Au 0.164 0.500 0.329 1
Au2 Au 0.166 0.000 0.331 1
Au3 Au 0.500 0.000 0.000 1
```

=====

(4)
This entry pairs a crystal structure of Cu2SiTe2Se with its calculated PXRD pattern. Radiation: Cu Kα (weighted mean of Kα1 and Kα2). Structure: a structure optimized by DFT (PBE).
No peak broadening, texture or thermal motion is included.

Top 6 peaks for 10° ≤ 2θ ≤ 80°, most intense first:
| 2θ/deg | I (rel.) | hkl |
| --- | --- | --- |
| 28.22 | 100 | 3 1 1 |
| 26.39 | 95 | 0 0 2 |
| 24.88 | 91 | 3 1 0 |
| 47.72 | 84 | 3 1 3 |
| 44.12 | 81 | 3 3 0 |
| 52.14 | 55 | 3 3 2 |

Structure:
```
data_Cu2SiTe2Se
_chemical_formula_sum 'Cu8 Si4 Te8 Se4'
_cell_length_a 12.436
_cell_length_b 7.089
_cell_length_c 6.755
_cell_angle_alpha 90.00
_cell_angle_beta 90.00
_cell_angle_gamma 90.00
_space_group_name_H-M_alt 'C m c 21'
_space_group_IT_number 36
loop_
_space_group_symop_operation_xyz
'x,y,z'
'-x,-y,z+1/2'
'-x,y,z'
'x,-y,z+1/2'
'x+1/2,y+1/2,z'
'-x+1/2,-y+1/2,z+1/2'
'-x+1/2,y+1/2,z'
'x+1/2,-y+1/2,z+1/2'
loop_
_atom_site_label
_atom_site_type_symbol
_atom_site_fract_x
_atom_site_fract_y
_atom_site_fract_z
_atom_site_occupancy
Cu1 Cu 0.156 0.175 0.000 1
Si1 Si 0.000 0.345 0.496 1
Te1 Te 0.165 0.172 0.380 1
Se1 Se 0.000 0.340 0.865 1
```

=====

(5)
This entry pairs a crystal structure of Rb2NaTaF6 with its calculated PXRD pattern. Radiation: Cu Kα (weighted mean of Kα1 and Kα2). Structure: a structure optimized by DFT (PBE).
No peak broadening, texture or thermal motion is included.

Top 6 peaks for 10° ≤ 2θ ≤ 80°, most intense first:
| 2θ/deg | I (rel.) | hkl |
| --- | --- | --- |
| 28.66 | 100 | 2 2 0 |
| 17.44 | 51 | 1 1 1 |
| 50.77 | 41 | 4 2 2 |
| 40.98 | 40 | 4 0 0 |
| 33.75 | 26 | 3 1 1 |
| 59.35 | 25 | 4 4 0 |

Structure:
```
data_Rb2NaTaF6
_chemical_formula_sum 'Rb8 Na4 Ta4 F24'
_cell_length_a 8.809
_cell_length_b 8.809
_cell_length_c 8.809
_cell_angle_alpha 90.00
_cell_angle_beta 90.00
_cell_angle_gamma 90.00
_space_group_name_H-M_alt 'F m -3 m'
_space_group_IT_number 225
_space_group_name_Hall '-F 4 2 3'
loop_
_atom_site_label
_atom_site_type_symbol
_atom_site_fract_x
_atom_site_fract_y
_atom_site_fract_z
_atom_site_occupancy
Rb1 Rb 0.250 0.250 0.250 1
Na1 Na 0.000 0.000 0.000 1
Ta1 Ta 0.000 0.000 0.500 1
F1 F 0.000 0.000 0.262 1
```

=====

(6)
This entry pairs a crystal structure of PrZnP2Rh5 with its calculated PXRD pattern. Radiation: Cu Kα (weighted mean of Kα1 and Kα2). Structure: a structure optimized by DFT (PBE).
No peak broadening, texture or thermal motion is included.

Top 6 peaks for 10° ≤ 2θ ≤ 80°, most intense first:
| 2θ/deg | I (rel.) | hkl |
| --- | --- | --- |
| 32.14 | 100 | 1 1 1 |
| 36.25 | 86 | 1 1 2 |
| 43.91 | 82 | 2 0 0 |
| 28.49 | 72 | 0 0 3 |
| 49.83 | 72 | 1 1 4 |
| 53.17 | 50 | 2 0 3 |

Structure:
```
data_PrZnP2Rh5
_chemical_formula_sum 'Pr1 Zn1 P2 Rh5'
_cell_length_a 4.124
_cell_length_b 4.124
_cell_length_c 9.400
_cell_angle_alpha 90.00
_cell_angle_beta 90.00
_cell_angle_gamma 90.00
_space_group_name_H-M_alt 'P 4/m m m'
_space_group_IT_number 123
_space_group_name_Hall '-P 4 2'
loop_
_atom_site_label
_atom_site_type_symbol
_atom_site_fract_x
_atom_site_fract_y
_atom_site_fract_z
_atom_site_occupancy
Pr1 Pr 0.000 0.000 0.000 1
Zn1 Zn 0.000 0.000 0.500 1
P1 P 0.500 0.500 0.240 1
Rh1 Rh 0.000 0.500 0.339 1
Rh2 Rh 0.500 0.500 0.000 1
```